# Mn3Tl3MoO8
Theoretical XRD peak list, CuKα. Input: a DFT-relaxed cell (PBE+U, Alexandria).

Structural model:
```
15
Lattice="5.775 -3.024 0.000 5.775 3.024 0.000 -3.703 0.000 6.520" Properties=species:S:1:pos:R:3 pbc="T T T"
Mn 0.000 0.000 0.000
Mn 2.888 1.512 0.000
Mn 2.888 -1.512 0.000
Tl 1.036 1.512 3.260
Tl 1.036 -1.512 3.260
Tl 3.924 0.000 3.260
Mo 5.775 0.000 0.000
O 2.089 0.000 0.989
O 5.005 1.542 1.101
O 2.843 1.542 5.418
O 0.175 0.000 5.563
O 7.673 0.000 0.957
O 5.005 -1.542 1.101
O 2.843 -1.542 5.418
O 5.759 0.000 5.531
```

Most intense lines, 10 to 80 degrees two-theta, low angle first:
| d_spacing | I/Imax |
| --- | --- |
| 6.520 | 376 |
| 5.504 | 291 |
| 5.181 | 489 |
| 3.260 | 896 |
| 2.752 | 501 |
| 2.591 | 807 |
| 2.511 | 649 |
| 2.339 | 1000 |
| 1.815 | 402 |
| 1.623 | 353 |